Theoretical XRD peak list of TlZn2Ru for Cu Kα X-rays, from DFT lattice parameters and positions (GGA-PBE).
Intensities are scaled so that the largest is 100.

Principal peaks in the range 2θ from 15° to 90°, by angle:
h k l  2theta  Rel. int.
0 1 1  24.7  13.3
1 0 1  25.5  13.4
1 1 2  38.8  100.0
0 0 4  41.7  20.4
0 2 0  45.9  15.5
2 0 0  47.6  13.9
0 2 4  63.7  11.4
1 1 6  74.1  14.4
1 3 2  80.1  11.8
3 1 2  82.6  10.9

Structure:
Unit cell a=3.824 b=3.956 c=8.669 alpha=90.00 beta=90.00 gamma=90.00
Space group Imm2 (No. 44)
Symmetry-distinct sites (fractional):
Tl (0.000, 0.000, 0.000)
Zn (0.000, 0.000, 0.503)
Zn (0.000, 0.500, 0.753)
Ru (0.000, 0.500, 0.248)

***

Theoretical XRD peak list of TiCoNi3 for Cu Kα X-rays, from DFT lattice parameters and positions (GGA-PBE).
Intensities are scaled so that the largest is 100.

Principal peaks in the range 2θ from 15° to 90°, by angle:
h k l  2theta  Rel. int.
2 1 0  32.3  7.2
2 2 1  43.8  100.0
3 1 0  46.4  57.0
3 1 1  48.8  27.3
3 2 1  55.5  5.9
4 1 1  63.7  6.9
4 2 0  67.6  5.9
4 1 3  78.8  23.3
5 0 2  84.2  18.3
5 1 2  85.9  5.5

Structure:
Unit cell a=6.194 b=6.194 c=6.194 alpha=90.00 beta=90.00 gamma=90.00
Space group P2_13 (No. 198)
Symmetry-distinct sites (fractional):
Ti (0.188, 0.188, 0.188)
Co (0.056, 0.944, 0.444)
Ni (0.051, 0.123, 0.795)

***

Theoretical XRD peak list of Hf3CdH for Cu Kα X-rays, from DFT lattice parameters and positions (GGA-PBE).
Intensities are scaled so that the largest is 100.

Principal peaks in the range 2θ from 15° to 90°, by angle:
h k l  2theta  Rel. int.
0 2 2  34.7  100.0
2 0 2  34.8  97.9
2 2 0  38.1  76.2
0 0 4  44.5  24.7
0 4 0  54.9  13.5
4 0 0  55.2  13.1
2 2 4  60.0  40.4
2 4 2  66.6  29.4
4 2 2  66.9  27.9
0 2 6  75.6  19.9

Structure:
Unit cell a=6.654 b=6.694 c=8.144 alpha=90.00 beta=90.00 gamma=90.00
Space group Cmmm (No. 65)
Symmetry-distinct sites (fractional):
Hf (0.000, 0.244, 0.242)
Hf (0.231, 0.000, 0.500)
Cd (0.248, 0.500, 0.000)
H (0.000, 0.500, 0.366)

***

Theoretical XRD peak list of MnH8N4Cl2 for Cu Kα X-rays, from DFT lattice parameters and positions (GGA-PBE).
Intensities are scaled so that the largest is 100.

Principal peaks in the range 2θ from 15° to 90°, by angle:
h k l  2theta  Rel. int.
0 0 1  21.1  25.0
0 2 0  21.4  26.6
0 2 1  30.2  100.0
3 1 0  32.2  31.4
3 1 -1  34.8  26.7
1 3 1  41.5  13.4
4 0 -1  41.7  12.1
0 0 2  43.0  12.0
0 2 2  48.5  11.9
0 4 1  48.9  13.5

Structure:
Unit cell a=9.083 b=8.309 c=4.315 alpha=90.00 beta=102.75 gamma=90.00
Space group C2/m (No. 12)
Symmetry-distinct sites (fractional):
Mn (0.000, 0.000, 0.000)
H (0.057, 0.304, 0.298)
H (0.156, 0.163, 0.530)
N (0.051, 0.191, 0.393)
Cl (0.221, 0.500, 0.022)

***

Theoretical XRD peak list of AcBiRh3 for Cu Kα X-rays, from DFT lattice parameters and positions (GGA-PBE).
Intensities are scaled so that the largest is 100.

Principal peaks in the range 2θ from 15° to 90°, by angle:
h k l  2theta  Rel. int.
1 0 1  21.9  28.7
1 1 0  29.3  36.7
1 0 3  30.6  97.3
1 1 2  33.0  100.0
2 0 0  41.9  76.6
1 1 4  42.5  64.2
1 0 5  43.5  24.9
2 1 3  52.8  44.2
2 2 0  60.7  25.7
3 1 4  76.9  22.4

Structure:
Unit cell a=4.316 b=4.316 c=11.889 alpha=90.00 beta=90.00 gamma=90.00
Space group I4mm (No. 107)
Symmetry-distinct sites (fractional):
Ac (0.000, 0.000, 0.000)
Bi (0.000, 0.000, 0.667)
Rh (0.000, 0.000, 0.442)
Rh (0.000, 0.500, 0.301)

***

Theoretical XRD peak list of Rb4Tl2Bi3 for Cu Kα X-rays, from DFT lattice parameters and positions (GGA-PBE).
Intensities are scaled so that the largest is 100.

Principal peaks in the range 2θ from 15° to 90°, by angle:
h k l  2theta  Rel. int.
4 0 -1  17.0  17.1
3 1 1  27.5  100.0
5 1 -1  28.9  18.0
2 0 -3  29.8  30.6
5 1 -2  32.0  67.7
8 0 -1  32.7  31.1
3 1 2  34.3  19.0
6 0 2  38.0  22.8
0 2 0  40.5  20.8
8 2 -1  53.0  16.2

Structure:
Unit cell a=21.892 b=4.453 c=9.013 alpha=90.00 beta=107.84 gamma=90.00
Space group C2/m (No. 12)
Symmetry-distinct sites (fractional):
Rb (0.054, 0.000, 0.374)
Rb (0.239, 0.000, 0.779)
Tl (0.121, 0.000, 0.046)
Bi (0.000, 0.500, 0.000)
Bi (0.097, 0.500, 0.773)